1.
Starting from a cell relaxed with GGA-PBE, the X-ray diffraction stick pattern of LaSm4Y3S8 was calculated for a wavelength of 1.5418 Å.
No peak broadening, texture or thermal motion is included.

Top 10 peaks for 15° ≤ 2θ ≤ 90°, sorted by position:
2θ (°)	I/Imax
26.15	4.3
27.34	64.6
31.67	100.0
45.39	71.3
53.80	31.8
56.40	24.6
66.14	11.3
72.97	12.7
75.19	31.1
83.88	23.6

Cell and atoms:
a = 7.992 Å, b = 7.992 Å, c = 7.992 Å
α = 60.00°, β = 60.00°, γ = 60.00°
Fractional positions:
La 0.000 0.000 0.000
Sm 0.000 0.000 0.500
Sm 0.000 0.500 0.000
Sm 0.500 0.000 0.000
Sm 0.500 0.500 0.500
Y 0.000 0.500 0.500
Y 0.500 0.000 0.500
Y 0.500 0.500 0.000
S 0.253 0.253 0.253
S 0.253 0.253 0.740
S 0.253 0.740 0.253
S 0.260 0.747 0.747
S 0.740 0.253 0.253
S 0.747 0.260 0.747
S 0.747 0.747 0.260
S 0.747 0.747 0.747

=====

2.
Starting from a cell relaxed with GGA-PBE, the X-ray diffraction stick pattern of TbEuTm was calculated for a wavelength of 1.5418 Å.
No peak broadening, texture or thermal motion is included.

Top 10 peaks for 15° ≤ 2θ ≤ 90°, sorted by position:
2θ (°)	I/Imax
30.18	100.0
34.99	50.5
50.32	35.3
59.81	41.4
62.76	11.9
72.45	1.5
73.89	4.0
81.88	16.3
84.45	11.0
84.55	4.2

Cell and atoms:
a = 8.103 Å, b = 8.103 Å, c = 8.103 Å
α = 154.13°, β = 154.13°, γ = 36.91°
Fractional positions:
Tb 0.000 0.000 0.000
Eu 0.676 0.676 0.000
Tm 0.350 0.350 0.000

=====

3.
Starting from a cell relaxed with GGA-PBE, the X-ray diffraction stick pattern of PmSnI5 was calculated for a wavelength of 1.5418 Å.
No peak broadening, texture or thermal motion is included.

Top 10 peaks for 15° ≤ 2θ ≤ 90°, sorted by position:
2θ (°)	I/Imax
25.23	77.9
27.28	39.7
27.66	100.0
27.92	32.3
29.51	64.9
30.19	22.2
31.75	29.9
35.49	36.3
37.67	42.1
39.76	47.2

Cell and atoms:
a = 9.232 Å, b = 4.533 Å, c = 15.166 Å
α = 90.00°, β = 94.62°, γ = 90.00°
Fractional positions:
Pm 0.092 0.250 0.150
Pm 0.908 0.750 0.850
Sn 0.401 0.750 0.368
Sn 0.599 0.250 0.632
I 0.116 0.250 0.794
I 0.147 0.250 0.365
I 0.180 0.750 0.014
I 0.358 0.750 0.570
I 0.424 0.250 0.187
I 0.576 0.750 0.813
I 0.642 0.250 0.430
I 0.820 0.250 0.986
I 0.853 0.750 0.635
I 0.884 0.750 0.206

=====

4.
Starting from a cell relaxed with GGA-PBE, the X-ray diffraction stick pattern of Tm5Bi4Te was calculated for a wavelength of 1.5418 Å.
No peak broadening, texture or thermal motion is included.

Top 10 peaks for 15° ≤ 2θ ≤ 90°, sorted by position:
2θ (°)	I/Imax
16.83	1.0
24.74	1.0
28.65	100.0
40.96	77.7
48.44	0.6
50.74	28.1
59.31	13.3
67.17	36.8
74.60	27.4
88.81	9.2

Cell and atoms:
a = 7.633 Å, b = 7.633 Å, c = 7.633 Å
α = 99.60°, β = 99.60°, γ = 131.78°
Fractional positions:
Tm 0.000 0.000 0.000
Tm 0.198 0.601 0.799
Tm 0.399 0.198 0.598
Tm 0.601 0.802 0.402
Tm 0.802 0.399 0.201
Bi 0.100 0.299 0.399
Bi 0.299 0.900 0.199
Bi 0.701 0.100 0.801
Bi 0.900 0.701 0.601
Te 0.500 0.500 0.000